[1]
For TbSi3Ir, the GGA-PBE geometry in the Materials Project gives the calculated PXRD pattern in this record (Cu Ka).

Top 8 peaks for 2θ from 5° to 70°, sorted by position:
18.09°, I 22
23.04°, I 49
30.09°, I 63
34.77°, I 100
35.33°, I 43
43.08°, I 44
51.41°, I 19
56.51°, I 50

Cell: 5.7330 5.7330 5.7330 Å, 137.03 137.03 62.40°
Element x y z (fractional)
Tb (0.0000, 0.0000, 0.0000)
Si (0.2665, 0.7665, 0.5000)
Si (0.4161, 0.4161, 0.0000)
Si (0.7665, 0.2665, 0.5000)
Ir (0.6541, 0.6541, 0.0000)

***

[2]
For TbSi2Ir2, the GGA-PBE geometry in the Materials Project gives the calculated PXRD pattern in this record (Cu Ka).

Top 8 peaks for 2θ from 5° to 70°, sorted by position:
17.74°, I 19
23.51°, I 11
34.72°, I 12
35.89°, I 100
44.31°, I 28
48.11°, I 16
58.31°, I 17
64.51°, I 24

Cell: 5.7757 5.7757 5.7757 Å, 138.55 138.55 60.07°
Element x y z (fractional)
Tb (0.0000, 0.0000, 0.0000)
Si (0.3785, 0.3785, 0.0000)
Si (0.6215, 0.6215, 0.0000)
Ir (0.2500, 0.7500, 0.5000)
Ir (0.7500, 0.2500, 0.5000)

***

[3]
For TbSiIr, the GGA-PBE geometry in the Materials Project gives the calculated PXRD pattern in this record (Cu Ka).

Top 8 peaks for 2θ from 5° to 70°, sorted by position:
27.33°, I 75
33.32°, I 29
34.57°, I 90
35.50°, I 100
40.94°, I 42
42.25°, I 44
42.38°, I 44
68.54°, I 42

Cell: 6.9270 4.2660 7.4159 Å, 90.00 90.00 90.00°
Element x y z (fractional)
Tb (0.0017, 0.2500, 0.1864)
Tb (0.4983, 0.7500, 0.6864)
Tb (0.5017, 0.2500, 0.3136)
Tb (0.9983, 0.7500, 0.8136)
Si (0.1999, 0.2500, 0.6080)
Si (0.3001, 0.7500, 0.1080)
Si (0.6999, 0.2500, 0.8920)
Si (0.8001, 0.7500, 0.3920)
Ir (0.1561, 0.7500, 0.4305)
Ir (0.3439, 0.2500, 0.9305)
Ir (0.6561, 0.7500, 0.0695)
Ir (0.8439, 0.2500, 0.5695)